(1)
Starting from the GGA-PBE geometry in OQMD, the powder X-ray diffraction pattern of Pr3Co2B2As3 was computed for Cu Kα (weighted mean of Kα1 and Kα2).
Kinematic intensities with the Lorentz-polarization factor, no thermal factor.

Structural model:
a b c (Å): 4.083 4.083 22.794
angles (deg): 90.00 90.00 90.00
Space group I4/mmm (No. 139)
One atom of each set of equivalent atoms:
1 Pr 0.000 0.000 0.000 (multiplicity 2)
2 Pr 0.000 0.000 0.357 (multiplicity 4)
3 Co 0.000 0.500 0.250 (multiplicity 4)
4 B 0.000 0.000 0.221 (multiplicity 4)
5 As 0.000 0.000 0.128 (multiplicity 4)
6 As 0.000 0.000 0.500 (multiplicity 2)

Principal peaks in the range 10 to 90 degrees two-theta, by intensity:
Position (°2θ)  d/Å  I/Imax
30.98  2.887  100.0
39.19  2.299  99.2
44.37  2.041  77.4
31.40  2.849  72.8
55.36  1.659  56.7
34.84  2.575  44.5
44.69  2.028  43.7
24.76  3.596  43.5
31.98  2.799  40.8
65.86  1.418  34.2

---

(2)
Starting from the GGA-PBE geometry in OQMD, the powder X-ray diffraction pattern of SmDyB2As2Ir2 was computed for Cu Kα (weighted mean of Kα1 and Kα2).
Kinematic intensities with the Lorentz-polarization factor, no thermal factor.

Structural model:
a b c (Å): 3.991 3.991 8.654
angles (deg): 90.00 90.00 90.00
Space group P4mm (No. 99)
One atom of each set of equivalent atoms:
1 Sm 0.000 0.000 0.000 (multiplicity 1)
2 Dy 0.500 0.500 0.581 (multiplicity 1)
3 B 0.000 0.000 0.395 (multiplicity 1)
4 B 0.500 0.500 0.183 (multiplicity 1)
5 As 0.000 0.000 0.643 (multiplicity 1)
6 As 0.500 0.500 0.932 (multiplicity 1)
7 Ir 0.000 0.500 0.291 (multiplicity 2)

Principal peaks in the range 10 to 90 degrees two-theta, by intensity:
Position (°2θ)  d/Å  I/Imax
38.07  2.364  100.0
33.40  2.683  88.3
10.22  8.654  56.8
31.00  2.885  49.0
45.46  1.995  47.8
56.04  1.641  37.2
79.04  1.211  24.4
63.01  1.475  21.7
38.51  2.338  18.8
24.56  3.624  18.2

---

(3)
Starting from the GGA-PBE geometry in OQMD, the powder X-ray diffraction pattern of TbDyNi2B2As2 was computed for Cu Kα (weighted mean of Kα1 and Kα2).
Kinematic intensities with the Lorentz-polarization factor, no thermal factor.

Structural model:
a b c (Å): 3.947 3.947 8.145
angles (deg): 90.00 90.00 90.00
Space group P4mm (No. 99)
One atom of each set of equivalent atoms:
1 Tb 0.000 0.000 0.000 (multiplicity 1)
2 Dy 0.500 0.500 0.451 (multiplicity 1)
3 Ni 0.000 0.500 0.725 (multiplicity 2)
4 B 0.000 0.000 0.639 (multiplicity 1)
5 B 0.500 0.500 0.813 (multiplicity 1)
6 As 0.000 0.000 0.380 (multiplicity 1)
7 As 0.500 0.500 0.072 (multiplicity 1)

Principal peaks in the range 10 to 90 degrees two-theta, by intensity:
Position (°2θ)  d/Å  I/Imax
39.13  2.302  100.0
45.98  1.974  51.6
32.07  2.791  47.5
40.32  2.237  45.1
25.07  3.552  42.6
33.95  2.640  41.0
32.99  2.715  30.5
62.79  1.480  24.2
80.48  1.193  23.8
57.75  1.596  23.7

---

(4)
Starting from the GGA-PBE geometry in OQMD, the powder X-ray diffraction pattern of FeB4As was computed for Cu Kα (weighted mean of Kα1 and Kα2).
Kinematic intensities with the Lorentz-polarization factor, no thermal factor.

Structural model:
a b c (Å): 3.0160 3.0160 7.0073
angles (deg): 90.00 90.00 120.00
Space group P6/mmm (No. 191)
One atom of each set of equivalent atoms:
1 Fe 0.0000 0.0000 0.0000 (multiplicity 1)
2 B 0.3333 0.6667 0.2176 (multiplicity 4)
3 As 0.0000 0.0000 0.5000 (multiplicity 1)

Principal peaks in the range 10 to 90 degrees two-theta, by intensity:
Position (°2θ)  d/Å  I/Imax
43.20  2.094  100.0
34.33  2.612  62.2
25.42  3.504  33.6
63.99  1.455  21.1
61.49  1.508  19.8
78.10  1.224  16.0
84.84  1.143  14.1
67.64  1.385  13.7
52.22  1.752  10.0
72.36  1.306  6.8

---

Repeat the fourth record exactly.
Starting from the GGA-PBE geometry in OQMD, the powder X-ray diffraction pattern of FeB4As was computed for Cu Kα (weighted mean of Kα1 and Kα2).
Kinematic intensities with the Lorentz-polarization factor, no thermal factor.

Structural model:
a b c (Å): 3.0160 3.0160 7.0073
angles (deg): 90.00 90.00 120.00
Space group P6/mmm (No. 191)
One atom of each set of equivalent atoms:
1 Fe 0.0000 0.0000 0.0000 (multiplicity 1)
2 B 0.3333 0.6667 0.2176 (multiplicity 4)
3 As 0.0000 0.0000 0.5000 (multiplicity 1)

Principal peaks in the range 10 to 90 degrees two-theta, by intensity:
Position (°2θ)  d/Å  I/Imax
43.20  2.094  100.0
34.33  2.612  62.2
25.42  3.504  33.6
63.99  1.455  21.1
61.49  1.508  19.8
78.10  1.224  16.0
84.84  1.143  14.1
67.64  1.385  13.7
52.22  1.752  10.0
72.36  1.306  6.8